Entry 1:
For KYPbBr6, DFT lattice parameters and positions (PBE) gives the calculated powder diffraction line list in this record (Cu Kα (weighted mean of Kα1 and Kα2)).
Peak positions follow from Bragg's law for the DFT cell and can differ from measured ones.

Principal peaks in the range 10 to 90 degrees two-theta, by intensity:
d (Å), I_rel
3.364, 100
2.602, 77
4.843, 44
7.112, 43
2.204, 41
2.014, 28
6.613, 28
2.358, 18
1.682, 18
1.777, 17
1.384, 16
1.337, 14

Structural model:
Cell: 7.6357 7.6357 14.2244 Å, 90.00 90.00 120.00°
Positions (direct):
K (0.0000, 0.0000, 0.0000)
K (0.0000, 0.0000, 0.5000)
Y (0.3333, 0.6667, 0.2500)
Y (0.6667, 0.3333, 0.7500)
Pb (0.3333, 0.6667, 0.7500)
Pb (0.6667, 0.3333, 0.2500)
Br (0.0234, 0.3763, 0.1346)
Br (0.0234, 0.6471, 0.3654)
Br (0.3529, 0.3763, 0.3654)
Br (0.3529, 0.9766, 0.1346)
Br (0.3763, 0.0234, 0.6346)
Br (0.3763, 0.3529, 0.8654)
Br (0.6237, 0.6471, 0.1346)
Br (0.6237, 0.9766, 0.3654)
Br (0.6471, 0.0234, 0.8654)
Br (0.6471, 0.6237, 0.6346)
Br (0.9766, 0.3529, 0.6346)
Br (0.9766, 0.6237, 0.8654)



Entry 2:
For K3Pd2Br9, DFT lattice parameters and positions (PBE) gives the calculated powder diffraction line list in this record (Cu Kα (weighted mean of Kα1 and Kα2)).
Peak positions follow from Bragg's law for the DFT cell and can differ from measured ones.

Principal peaks in the range 10 to 90 degrees two-theta, by intensity:
d (Å), I_rel
2.807, 100
7.711, 83
6.040, 42
2.365, 29
1.744, 28
2.313, 27
2.988, 22
1.837, 22
4.746, 21
5.009, 19
2.283, 15
3.218, 14

Structural model:
Cell: 10.3201 10.3201 10.3201 Å, 71.64 71.64 71.64°
Positions (direct):
K (0.0847, 0.7500, 0.4153)
K (0.2500, 0.5847, 0.9153)
K (0.4153, 0.0847, 0.7500)
K (0.5847, 0.9153, 0.2500)
K (0.7500, 0.4153, 0.0847)
K (0.9153, 0.2500, 0.5847)
Pd (0.1778, 0.1778, 0.1778)
Pd (0.3222, 0.3222, 0.3222)
Pd (0.6778, 0.6778, 0.6778)
Pd (0.8222, 0.8222, 0.8222)
Br (0.0660, 0.8723, 0.7131)
Br (0.0812, 0.4188, 0.2500)
Br (0.1277, 0.2869, 0.9340)
Br (0.2131, 0.3723, 0.5660)
Br (0.2500, 0.0812, 0.4188)
Br (0.2869, 0.9340, 0.1277)
Br (0.3723, 0.5660, 0.2131)
Br (0.4188, 0.2500, 0.0812)
Br (0.4340, 0.7869, 0.6277)
Br (0.5660, 0.2131, 0.3723)
Br (0.5812, 0.7500, 0.9188)
Br (0.6277, 0.4340, 0.7869)
Br (0.7131, 0.0660, 0.8723)
Br (0.7500, 0.9188, 0.5812)
Br (0.7869, 0.6277, 0.4340)
Br (0.8723, 0.7131, 0.0660)
Br (0.9188, 0.5812, 0.7500)
Br (0.9340, 0.1277, 0.2869)



Entry 3:
For KPdBr5, DFT lattice parameters and positions (PBE) gives the calculated powder diffraction line list in this record (Cu Kα (weighted mean of Kα1 and Kα2)).
Peak positions follow from Bragg's law for the DFT cell and can differ from measured ones.

Principal peaks in the range 10 to 90 degrees two-theta, by intensity:
d (Å), I_rel
6.522, 100
2.436, 77
6.349, 60
2.501, 44
3.261, 41
1.762, 41
4.695, 39
2.444, 32
3.272, 31
2.480, 29
3.191, 28
4.613, 24

Structural model:
Cell: 7.7599 7.7599 10.0071 Å, 107.54 107.54 58.65°
Positions (direct):
K (0.0253, 0.9747, 0.7500)
K (0.9747, 0.0253, 0.2500)
Pd (0.5000, 0.5000, 0.0000)
Pd (0.5000, 0.5000, 0.5000)
Br (0.1270, 0.6069, 0.9138)
Br (0.1329, 0.5812, 0.4603)
Br (0.3931, 0.8730, 0.5862)
Br (0.4113, 0.5887, 0.2500)
Br (0.4188, 0.8671, 0.0397)
Br (0.5812, 0.1329, 0.9603)
Br (0.5887, 0.4113, 0.7500)
Br (0.6069, 0.1270, 0.4138)
Br (0.8671, 0.4188, 0.5397)
Br (0.8730, 0.3931, 0.0862)



Entry 4:
For K3PmBr6, DFT lattice parameters and positions (PBE) gives the calculated powder diffraction line list in this record (Cu Kα (weighted mean of Kα1 and Kα2)).
Peak positions follow from Bragg's law for the DFT cell and can differ from measured ones.

Principal peaks in the range 10 to 90 degrees two-theta, by intensity:
d (Å), I_rel
2.957, 100
3.003, 71
6.578, 70
3.863, 57
4.711, 49
6.750, 49
2.551, 49
2.085, 34
2.193, 25
2.514, 21
2.542, 20
2.030, 19

Structural model:
Cell: 9.4282 9.4282 9.4282 Å, 91.44 91.44 91.44°
Positions (direct):
K (0.0723, 0.5778, 0.7515)
K (0.2485, 0.9277, 0.4222)
K (0.4222, 0.2485, 0.9277)
K (0.5778, 0.7515, 0.0723)
K (0.7515, 0.0723, 0.5778)
K (0.9277, 0.4222, 0.2485)
Pm (0.0000, 0.0000, 0.0000)
Pm (0.5000, 0.5000, 0.5000)
Br (0.0483, 0.9250, 0.7067)
Br (0.0750, 0.2933, 0.9517)
Br (0.2097, 0.5660, 0.4244)
Br (0.2933, 0.9517, 0.0750)
Br (0.4244, 0.2097, 0.5660)
Br (0.4340, 0.5756, 0.7903)
Br (0.5660, 0.4244, 0.2097)
Br (0.5756, 0.7903, 0.4340)
Br (0.7067, 0.0483, 0.9250)
Br (0.7903, 0.4340, 0.5756)
Br (0.9250, 0.7067, 0.0483)
Br (0.9517, 0.0750, 0.2933)



Entry 5:
For K3PmBr8, DFT lattice parameters and positions (PBE) gives the calculated powder diffraction line list in this record (Cu Kα (weighted mean of Kα1 and Kα2)).
Peak positions follow from Bragg's law for the DFT cell and can differ from measured ones.

Principal peaks in the range 10 to 90 degrees two-theta, by intensity:
d (Å), I_rel
2.727, 100
2.633, 46
4.400, 33
6.753, 31
1.537, 28
3.723, 20
8.008, 17
1.594, 15
1.862, 15
4.004, 11
2.259, 10
2.169, 9

Structural model:
Cell: 9.5844 9.5844 9.5844 Å, 134.28 134.28 66.65°
Positions (direct):
K (0.0000, 0.0000, 0.0000)
K (0.2500, 0.7500, 0.5000)
K (0.7500, 0.2500, 0.5000)
Pm (0.5000, 0.5000, 0.0000)
Br (0.1557, 0.1557, 0.5384)
Br (0.1557, 0.6173, 0.0000)
Br (0.3827, 0.3827, 0.5384)
Br (0.3827, 0.8443, 0.0000)
Br (0.6173, 0.1557, 0.0000)
Br (0.6173, 0.6173, 0.4616)
Br (0.8443, 0.3827, 0.0000)
Br (0.8443, 0.8443, 0.4616)



Entry 6:
For K2Pr2Br7, DFT lattice parameters and positions (PBE) gives the calculated powder diffraction line list in this record (Cu Kα (weighted mean of Kα1 and Kα2)).
Peak positions follow from Bragg's law for the DFT cell and can differ from measured ones.

Principal peaks in the range 10 to 90 degrees two-theta, by intensity:
d (Å), I_rel
2.658, 100
7.786, 60
4.119, 57
2.747, 37
2.427, 35
2.287, 28
3.037, 26
2.572, 25
4.489, 24
1.818, 24
1.328, 21
5.493, 19

Structural model:
Cell: 7.3302 7.3302 7.7857 Å, 90.00 90.00 97.08°
Positions (direct):
K (0.2444, 0.2444, 0.0000)
K (0.7556, 0.7556, 0.0000)
Pr (0.2790, 0.7210, 0.5000)
Pr (0.7210, 0.2790, 0.5000)
Br (0.0000, 0.0000, 0.5000)
Br (0.0000, 0.5000, 0.2597)
Br (0.0000, 0.5000, 0.7403)
Br (0.5000, 0.0000, 0.2597)
Br (0.5000, 0.0000, 0.7403)
Br (0.5000, 0.5000, 0.2703)
Br (0.5000, 0.5000, 0.7297)



Entry 7:
For KPrSBr, DFT lattice parameters and positions (PBE) gives the calculated powder diffraction line list in this record (Cu Kα (weighted mean of Kα1 and Kα2)).
Peak positions follow from Bragg's law for the DFT cell and can differ from measured ones.

Principal peaks in the range 10 to 90 degrees two-theta, by intensity:
d (Å), I_rel
2.882, 100
8.042, 62
3.444, 53
2.075, 42
2.488, 35
2.003, 25
3.087, 22
2.010, 21
1.684, 19
1.444, 17
1.308, 16
3.555, 14

Structural model:
Cell: 4.1498 4.1498 24.1274 Å, 90.00 90.00 120.00°
Positions (direct):
K (0.0000, 0.0000, 0.0000)
K (0.3333, 0.6667, 0.6667)
K (0.6667, 0.3333, 0.3333)
Pr (0.0000, 0.0000, 0.8113)
Pr (0.3333, 0.6667, 0.4780)
Pr (0.6667, 0.3333, 0.1447)
S (0.0000, 0.0000, 0.4134)
S (0.3333, 0.6667, 0.0801)
S (0.6667, 0.3333, 0.7468)
Br (0.0000, 0.0000, 0.2297)
Br (0.3333, 0.6667, 0.8963)
Br (0.6667, 0.3333, 0.5630)



Entry 8:
For KPrSn2Br8, DFT lattice parameters and positions (PBE) gives the calculated powder diffraction line list in this record (Cu Kα (weighted mean of Kα1 and Kα2)).
Peak positions follow from Bragg's law for the DFT cell and can differ from measured ones.

Principal peaks in the range 10 to 90 degrees two-theta, by intensity:
d (Å), I_rel
3.398, 100
2.594, 92
2.145, 90
2.568, 80
5.061, 80
3.369, 70
4.967, 69
3.821, 64
2.292, 60
3.196, 55
3.246, 39
2.484, 31

Structural model:
Cell: 6.9142 9.1696 7.2817 Å, 90.00 91.07 90.00°
Positions (direct):
K (0.0000, 0.0000, 0.0000)
Pr (0.0000, 0.5000, 0.0000)
Sn (0.5000, 0.2448, 0.5000)
Sn (0.5000, 0.7552, 0.5000)
Br (0.2456, 0.5000, 0.6715)
Br (0.2479, 0.2717, 0.1591)
Br (0.2479, 0.7283, 0.1591)
Br (0.2741, 0.0000, 0.6340)
Br (0.7259, 0.0000, 0.3660)
Br (0.7521, 0.2717, 0.8409)
Br (0.7521, 0.7283, 0.8409)
Br (0.7544, 0.5000, 0.3285)



Entry 9:
For KPt4Br12, DFT lattice parameters and positions (PBE) gives the calculated powder diffraction line list in this record (Cu Kα (weighted mean of Kα1 and Kα2)).
Peak positions follow from Bragg's law for the DFT cell and can differ from measured ones.

Principal peaks in the range 10 to 90 degrees two-theta, by intensity:
d (Å), I_rel
4.924, 100
2.202, 60
2.010, 44
3.114, 32
2.462, 32
3.482, 28
2.632, 26
1.161, 25
1.641, 16
1.689, 16
1.194, 15
1.485, 14

Structural model:
Cell: 8.5289 8.5289 8.5289 Å, 109.47 109.47 109.47°
Positions (direct):
K (0.0000, 0.0000, 0.0000)
Pt (0.0000, 0.0000, 0.5000)
Pt (0.0000, 0.5000, 0.0000)
Pt (0.5000, 0.0000, 0.0000)
Pt (0.5000, 0.5000, 0.5000)
Br (0.1179, 0.3044, 0.8135)
Br (0.1865, 0.4909, 0.3044)
Br (0.1865, 0.8821, 0.6956)
Br (0.3044, 0.1865, 0.4909)
Br (0.3044, 0.8135, 0.1179)
Br (0.4909, 0.3044, 0.1865)
Br (0.5091, 0.6956, 0.8135)
Br (0.6956, 0.1865, 0.8821)
Br (0.6956, 0.8135, 0.5091)
Br (0.8135, 0.1179, 0.3044)
Br (0.8135, 0.5091, 0.6956)
Br (0.8821, 0.6956, 0.1865)



Entry 10:
For K3Pt2Br9, DFT lattice parameters and positions (PBE) gives the calculated powder diffraction line list in this record (Cu Kα (weighted mean of Kα1 and Kα2)).
Peak positions follow from Bragg's law for the DFT cell and can differ from measured ones.

Principal peaks in the range 10 to 90 degrees two-theta, by intensity:
d (Å), I_rel
5.241, 100
2.620, 91
1.860, 33
1.846, 31
2.337, 25
3.018, 23
2.351, 22
6.395, 21
1.509, 16
3.720, 15
1.168, 14
1.175, 13

Structural model:
Cell: 7.3842 7.3842 9.1454 Å, 90.00 90.00 120.00°
Positions (direct):
K (0.0000, 0.0000, 0.0000)
K (0.3333, 0.6667, 0.3477)
K (0.6667, 0.3333, 0.6523)
Pt (0.3333, 0.6667, 0.8290)
Pt (0.6667, 0.3333, 0.1710)
Br (0.0000, 0.5000, 0.0000)
Br (0.1696, 0.3393, 0.6761)
Br (0.1696, 0.8304, 0.6761)
Br (0.3393, 0.1696, 0.3239)
Br (0.5000, 0.0000, 0.0000)
Br (0.5000, 0.5000, 0.0000)
Br (0.6607, 0.8304, 0.6761)
Br (0.8304, 0.1696, 0.3239)
Br (0.8304, 0.6607, 0.3239)



Entry 11:
For KPu2Br11, DFT lattice parameters and positions (PBE) gives the calculated powder diffraction line list in this record (Cu Kα (weighted mean of Kα1 and Kα2)).
Peak positions follow from Bragg's law for the DFT cell and can differ from measured ones.

Principal peaks in the range 10 to 90 degrees two-theta, by intensity:
d (Å), I_rel
5.406, 100
7.250, 59
2.848, 44
5.697, 30
2.827, 28
1.859, 20
2.015, 17
4.844, 17
3.070, 17
2.894, 16
2.644, 16
6.509, 15

Structural model:
Cell: 11.7214 11.7214 11.7214 Å, 112.66 112.33 103.58°
Positions (direct):
K (0.2500, 0.2500, 0.0000)
K (0.7500, 0.7500, 0.0000)
Pu (0.1506, 0.6596, 0.8103)
Pu (0.3494, 0.1596, 0.5090)
Pu (0.6506, 0.8404, 0.4910)
Pu (0.8494, 0.3404, 0.1897)
Br (0.0000, 0.5000, 0.5000)
Br (0.0860, 0.3688, 0.1941)
Br (0.1115, 0.9285, 0.3030)
Br (0.1255, 0.4285, 0.8170)
Br (0.1748, 0.8919, 0.8059)
Br (0.2110, 0.3067, 0.5176)
Br (0.2890, 0.8067, 0.0957)
Br (0.3252, 0.1312, 0.7171)
Br (0.3745, 0.1915, 0.3030)
Br (0.3885, 0.6915, 0.8170)
Br (0.4140, 0.6081, 0.2829)
Br (0.5000, 0.0000, 0.5000)
Br (0.5860, 0.3919, 0.7171)
Br (0.6115, 0.3085, 0.1830)
Br (0.6255, 0.8085, 0.6970)
Br (0.6748, 0.8688, 0.2829)
Br (0.7110, 0.1933, 0.9043)
Br (0.7890, 0.6933, 0.4824)
Br (0.8252, 0.1081, 0.1941)
Br (0.8745, 0.5715, 0.1830)
Br (0.8885, 0.0715, 0.6970)
Br (0.9140, 0.6312, 0.8059)